Structure and simulated X-ray powder pattern of BaTbCuTe2S (a GGA-PBE-relaxed structure; Cu Kα, 1.54184 Å).
Lines closer than 0.1° are merged.

Largest 10 diffraction maxima, in order of rising 2θ, 10 to 90 degrees two-theta:
2θ 20.46, I = 30, hkl 0 2 2
2θ 27.56, I = 100, hkl 1 3 0
2θ 27.77, I = 47, hkl 0 2 3
2θ 28.82, I = 52, hkl 1 3 1
2θ 32.34, I = 69, hkl 1 3 2
2θ 33.33, I = 62, hkl 1 1 3
2θ 33.57, I = 28, hkl 0 0 4
2θ 40.59, I = 60, hkl 1 5 2
2θ 41.61, I = 21, hkl 0 4 4
2θ 42.39, I = 40, hkl 2 0 0

Cell and atoms:
a b c (Å): 4.2650 14.9123 10.6794
angles (deg): 90.00 90.00 90.00
Space group Cmcm (No. 63)
Asymmetric unit:
1 Ba 0.0000 0.2207 0.2500 x4
2 Tb 0.0000 0.5000 0.0000 x4
3 Cu 0.0000 0.0235 0.7500 x4
4 Te 0.0000 0.1412 0.5633 x8
5 S 0.0000 0.4425 0.7500 x4


Structure and simulated X-ray powder pattern of BaYCuTeS2 (a GGA-PBE-relaxed structure; Cu Kα, 1.54184 Å).
Lines closer than 0.1° are merged.

Largest 10 diffraction maxima, in order of rising 2θ, 10 to 90 degrees two-theta:
2θ 12.04, I = 25, hkl 0 2 0
2θ 16.15, I = 48, hkl 0 0 2
2θ 25.55, I = 18, hkl 0 4 1
2θ 29.57, I = 100, hkl 1 3 1
2θ 32.63, I = 37, hkl 0 0 4
2θ 32.84, I = 69, hkl 1 3 2
2θ 37.73, I = 27, hkl 1 3 3
2θ 44.24, I = 23, hkl 2 0 0
2θ 50.72, I = 23, hkl 1 3 5
2θ 51.66, I = 27, hkl 1 7 2

Cell and atoms:
a b c (Å): 4.0947 14.7048 10.9782
angles (deg): 90.00 90.00 90.00
Space group Cmcm (No. 63)
Asymmetric unit:
1 Ba 0.0000 0.2175 0.2500 x4
2 Y 0.0000 0.0000 0.0000 x4
3 Cu 0.0000 0.4778 0.7500 x4
4 Te 0.0000 0.0921 0.7500 x4
5 S 0.0000 0.3858 0.5760 x8


Structure and simulated X-ray powder pattern of BaCu8Sb4 (a GGA-PBE-relaxed structure; Cu Kα, 1.54184 Å).
Lines closer than 0.1° are merged.

Largest 10 diffraction maxima, in order of rising 2θ, 10 to 90 degrees two-theta:
2θ 25.59, I = 45, hkl 3 1 0
2θ 28.36, I = 61, hkl 1 2 1
2θ 32.78, I = 21, hkl 3 0 1
2θ 36.73, I = 19, hkl 2 3 1
2θ 40.34, I = 100, hkl 4 1 1
2θ 44.27, I = 33, hkl 0 0 2
2θ 46.86, I = 43, hkl 5 0 1
2θ 48.21, I = 45, hkl 3 5 0
2θ 67.51, I = 32, hkl 3 5 2
2θ 87.19, I = 18, hkl 8 2 2

Cell and atoms:
a b c (Å): 11.0074 11.0074 4.0924
angles (deg): 90.00 90.00 90.00
Space group I4/m (No. 87)
Asymmetric unit:
1 Ba 0.0000 0.0000 0.0000 x2
2 Cu 0.0143 0.3840 0.0000 x8
3 Cu 0.1756 0.2926 0.5000 x8
4 Sb 0.0676 0.7487 0.5000 x8


Structure and simulated X-ray powder pattern of Ba4Cu8Se13 (a GGA-PBE-relaxed structure; Cu Kα, 1.54184 Å).
Lines closer than 0.1° are merged.

Largest 10 diffraction maxima, in order of rising 2θ, 10 to 90 degrees two-theta:
2θ 12.89, I = 39, hkl 0 0 4
2θ 27.47, I = 51, hkl 2 2 0
2θ 30.78, I = 47, hkl 3 1 -1
2θ 30.90, I = 100, hkl 2 2 4
2θ 31.44, I = 50, hkl 2 2 -5
2θ 31.89, I = 57, hkl 1 1 -9
2θ 32.50, I = 44, hkl 1 3 3
2θ 32.87, I = 83, hkl 1 1 9
2θ 39.30, I = 30, hkl 4 0 0
2θ 52.78, I = 38, hkl 3 3 9

Cell and atoms:
a b c (Å): 9.1957 9.1917 27.5209
angles (deg): 90.00 93.12 90.00
Space group C2/c (No. 15)
Asymmetric unit:
1 Ba 0.0124 0.2335 0.4758 x8
2 Ba 0.2433 0.4598 0.2041 x8
3 Cu 0.0277 0.0430 0.6178 x8
4 Cu 0.0707 0.4604 0.3795 x8
5 Cu 0.2263 0.2410 0.6178 x8
6 Cu 0.2295 0.1599 0.1205 x8
7 Se 0.0000 0.2088 0.2500 x4
8 Se 0.0180 0.2077 0.3492 x8
9 Se 0.0856 0.1949 0.6890 x8
10 Se 0.1055 0.3861 0.8098 x8
11 Se 0.1243 0.4474 0.5739 x8
12 Se 0.1858 0.1375 0.9261 x8
13 Se 0.2201 0.0388 0.5556 x8


Structure and simulated X-ray powder pattern of BaTbCuTeSe2 (a GGA-PBE-relaxed structure; Cu Kα, 1.54184 Å).
Lines closer than 0.1° are merged.

Largest 10 diffraction maxima, in order of rising 2θ, 10 to 90 degrees two-theta:
2θ 11.96, I = 38, hkl 0 2 0
2θ 19.99, I = 24, hkl 0 2 2
2θ 26.92, I = 20, hkl 0 2 3
2θ 29.01, I = 84, hkl 1 3 1
2θ 32.25, I = 100, hkl 0 0 4
2θ 37.12, I = 19, hkl 1 5 0
2θ 39.99, I = 18, hkl 0 6 2
2θ 40.63, I = 42, hkl 1 5 2
2θ 42.95, I = 27, hkl 2 0 0
2θ 49.95, I = 25, hkl 1 3 5

Cell and atoms:
a b c (Å): 4.2113 14.7989 11.1108
angles (deg): 90.00 90.00 90.00
Space group Cmcm (No. 63)
Asymmetric unit:
1 Ba 0.0000 0.2291 0.2500 x4
2 Tb 0.0000 0.0000 0.0000 x4
3 Cu 0.0000 0.4730 0.7500 x4
4 Te 0.0000 0.0838 0.7500 x4
5 Se 0.0000 0.3753 0.5684 x8


Structure and simulated X-ray powder pattern of BaYCuTe2Se (a GGA-PBE-relaxed structure; Cu Kα, 1.54184 Å).
Lines closer than 0.1° are merged.

Largest 10 diffraction maxima, in order of rising 2θ, 10 to 90 degrees two-theta:
2θ 27.26, I = 100, hkl 1 3 0
2θ 28.48, I = 75, hkl 1 3 1
2θ 29.13, I = 28, hkl 0 4 2
2θ 31.88, I = 39, hkl 1 3 2
2θ 32.55, I = 47, hkl 1 1 3
2θ 32.75, I = 24, hkl 0 0 4
2θ 40.09, I = 18, hkl 0 6 2
2θ 40.32, I = 33, hkl 1 5 2
2θ 41.33, I = 34, hkl 2 0 0
2θ 50.19, I = 40, hkl 1 3 5

Cell and atoms:
a b c (Å): 4.3694 14.8056 10.9382
angles (deg): 90.00 90.00 90.00
Space group Cmcm (No. 63)
Asymmetric unit:
1 Ba 0.0000 0.2321 0.2500 x4
2 Y 0.0000 0.5000 0.0000 x4
3 Cu 0.0000 0.0273 0.7500 x4
4 Te 0.0000 0.1394 0.5615 x8
5 Se 0.0000 0.4368 0.7500 x4


Structure and simulated X-ray powder pattern of BaYCuTeSe2 (a GGA-PBE-relaxed structure; Cu Kα, 1.54184 Å).
Lines closer than 0.1° are merged.

Largest 10 diffraction maxima, in order of rising 2θ, 10 to 90 degrees two-theta:
2θ 26.75, I = 23, hkl 0 2 3
2θ 29.03, I = 100, hkl 1 3 1
2θ 31.84, I = 28, hkl 0 0 4
2θ 32.21, I = 51, hkl 1 3 2
2θ 32.45, I = 19, hkl 1 1 3
2θ 36.96, I = 16, hkl 1 3 3
2θ 40.47, I = 24, hkl 0 6 2
2θ 40.83, I = 20, hkl 1 5 2
2θ 42.58, I = 27, hkl 2 0 0
2θ 49.56, I = 30, hkl 1 3 5

Cell and atoms:
a b c (Å): 4.2462 14.5810 11.2419
angles (deg): 90.00 90.00 90.00
Space group Cmcm (No. 63)
Asymmetric unit:
1 Ba 0.0000 0.2302 0.2500 x4
2 Y 0.0000 0.0000 0.0000 x4
3 Cu 0.0000 0.4708 0.7500 x4
4 Te 0.0000 0.0814 0.7500 x4
5 Se 0.0000 0.3741 0.5676 x8


Structure and simulated X-ray powder pattern of BaCu2WSe4 (a GGA-PBE-relaxed structure; Cu Kα, 1.54184 Å).
Lines closer than 0.1° are merged.

Largest 10 diffraction maxima, in order of rising 2θ, 10 to 90 degrees two-theta:
2θ 17.58, I = 41, hkl 1 2 0
2θ 22.37, I = 100, hkl 2 1 1
2θ 26.50, I = 34, hkl 0 0 2
2θ 26.99, I = 52, hkl 0 3 1
2θ 28.96, I = 37, hkl 3 1 1
2θ 35.07, I = 47, hkl 2 2 2
2θ 35.59, I = 52, hkl 2 4 0
2θ 36.48, I = 31, hkl 4 2 0
2θ 48.33, I = 45, hkl 3 1 3
2θ 50.09, I = 34, hkl 6 0 0

Cell and atoms:
a b c (Å): 10.9294 11.3756 6.7274
angles (deg): 90.00 90.00 90.00
Space group Ama2 (No. 40)
Asymmetric unit:
1 Ba 0.0000 0.0000 0.0000 x4
2 Cu 0.1257 0.2225 0.3946 x8
3 W 0.2500 0.3572 0.8908 x4
4 Se 0.0790 0.2478 0.7488 x8
5 Se 0.2500 0.0581 0.2679 x4
6 Se 0.2500 0.3862 0.2495 x4